[1]
Structure and theoretical XRD peak list of Ba3Al2Sb6O21 (a DFT-relaxed cell (PBE, the Materials Project); Cu Ka).
Intensities are scaled so that the largest is 100.

Peak list (10 most intense, 10 to 80 degrees two-theta, sorted by position)
2θ (°)	intensity
12.7	100
18.4	50
19.6	95
19.9	40
25.6	49
27.6	49
29.0	57
30.4	29
32.0	73
34.8	29

Structural model:
Cell: 7.643 7.643 14.820 Å, 102.34 102.34 40.00°
Positions (direct):
Ba: 0.000 0.000 0.000
Ba: 0.099 0.580 0.617
Ba: 0.420 0.901 0.383
Al: 0.221 0.336 0.163
Al: 0.664 0.779 0.837
Sb: 0.023 0.229 0.722
Sb: 0.222 0.355 0.925
Sb: 0.292 0.506 0.395
Sb: 0.494 0.708 0.605
Sb: 0.645 0.778 0.075
Sb: 0.771 0.977 0.278
O: 0.055 0.522 0.051
O: 0.160 0.751 0.289
O: 0.227 0.117 0.618
O: 0.249 0.840 0.711
O: 0.258 0.742 0.500
O: 0.280 0.060 0.121
O: 0.353 0.290 0.473
O: 0.355 0.131 0.799
O: 0.363 0.231 0.286
O: 0.478 0.945 0.949
O: 0.485 0.336 0.957
O: 0.597 0.109 0.145
O: 0.659 0.293 0.357
O: 0.664 0.515 0.043
O: 0.707 0.341 0.643
O: 0.710 0.647 0.527
O: 0.769 0.637 0.714
O: 0.869 0.645 0.201
O: 0.883 0.773 0.382
O: 0.891 0.403 0.855
O: 0.940 0.720 0.879

=====

[2]
Structure and theoretical XRD peak list of Ti9O8 (a DFT-relaxed cell (PBE, the Materials Project); Cu Ka).
Intensities are scaled so that the largest is 100.

Peak list (10 most intense, 10 to 80 degrees two-theta, sorted by position)
2θ (°)	intensity
36.4	44
36.6	22
36.6	22
41.9	50
42.6	100
61.0	13
61.2	13
61.4	12
61.6	13
61.9	26

Structural model:
Cell: 6.060 6.696 9.062 Å, 77.13 89.11 77.06°
Positions (direct):
Ti: 0.049 0.175 0.217
Ti: 0.103 0.163 0.571
Ti: 0.103 0.166 0.876
Ti: 0.238 0.506 0.976
Ti: 0.252 0.489 0.675
Ti: 0.259 0.512 0.337
Ti: 0.404 0.854 0.774
Ti: 0.440 0.829 0.124
Ti: 0.446 0.833 0.429
Ti: 0.554 0.167 0.571
Ti: 0.560 0.171 0.876
Ti: 0.596 0.146 0.226
Ti: 0.741 0.488 0.663
Ti: 0.748 0.511 0.325
Ti: 0.762 0.494 0.024
Ti: 0.897 0.834 0.124
Ti: 0.897 0.837 0.429
Ti: 0.951 0.825 0.783
O: 0.000 0.500 0.500
O: 0.030 0.500 0.170
O: 0.168 0.832 0.597
O: 0.168 0.844 0.277
O: 0.173 0.834 0.961
O: 0.323 0.171 0.382
O: 0.329 0.170 0.060
O: 0.482 0.493 0.159
O: 0.500 0.500 0.500
O: 0.518 0.507 0.841
O: 0.671 0.830 0.940
O: 0.677 0.829 0.618
O: 0.827 0.166 0.039
O: 0.832 0.156 0.723
O: 0.832 0.168 0.403
O: 0.970 0.500 0.830

=====

[3]
Structure and theoretical XRD peak list of NbReSi (a DFT-relaxed cell (PBE, the Materials Project); Cu Ka).
Intensities are scaled so that the largest is 100.

Peak list (10 most intense, 10 to 80 degrees two-theta, sorted by position)
2θ (°)	intensity
14.9	15
25.9	34
37.6	100
40.0	65
40.6	38
45.7	18
48.8	25
69.0	15
70.3	25
75.1	24

Structural model:
Cell: 6.884 6.884 3.332 Å, 90.00 90.00 120.00°
Positions (direct):
Nb: 0.000 0.403 0.000
Nb: 0.403 0.000 0.000
Nb: 0.597 0.597 0.000
Re: 0.000 0.743 0.500
Re: 0.257 0.257 0.500
Re: 0.743 0.000 0.500
Si: 0.000 0.000 0.000
Si: 0.333 0.667 0.500
Si: 0.667 0.333 0.500

=====

[4]
Structure and theoretical XRD peak list of Cu2GeTe3 (a DFT-relaxed cell (PBE, the Materials Project); Cu Ka).
Intensities are scaled so that the largest is 100.

Peak list (10 most intense, 10 to 80 degrees two-theta, sorted by position)
2θ (°)	intensity
25.5	100
29.6	7
42.3	71
50.1	45
61.4	11
67.6	9
67.6	9
69.6	2
77.3	11
77.4	11

Structural model:
Cell: 14.158 7.400 13.500 Å, 79.45 30.92 69.63°
Positions (direct):
Cu: 0.000 0.000 0.000
Cu: 0.091 0.413 0.075
Cu: 0.175 0.830 0.159
Cu: 0.250 0.250 0.250
Cu: 0.413 0.091 0.420
Cu: 0.495 0.495 0.505
Cu: 0.745 0.745 0.755
Cu: 0.830 0.175 0.837
Ge: 0.341 0.659 0.323
Ge: 0.573 0.927 0.591
Ge: 0.659 0.341 0.677
Ge: 0.927 0.573 0.909
Te: 0.044 0.194 0.790
Te: 0.128 0.630 0.876
Te: 0.194 0.044 0.973
Te: 0.277 0.460 0.056
Te: 0.374 0.884 0.122
Te: 0.460 0.277 0.206
Te: 0.536 0.717 0.305
Te: 0.630 0.128 0.366
Te: 0.717 0.536 0.443
Te: 0.807 0.945 0.533
Te: 0.884 0.374 0.620
Te: 0.945 0.807 0.714

=====

[5]
Structure and theoretical XRD peak list of Sr2SmTaCu2O8 (a DFT-relaxed cell (PBE, the Materials Project); Cu Ka).
Intensities are scaled so that the largest is 100.

Peak list (10 most intense, 10 to 80 degrees two-theta, sorted by position)
2θ (°)	intensity
15.1	9
23.8	18
32.2	100
38.2	8
44.8	10
46.1	22
57.3	25
57.5	8
67.2	7
76.5	11

Structural model:
Cell: 3.939 3.939 11.765 Å, 90.00 90.00 90.00°
Positions (direct):
Sr: 0.000 0.000 0.201
Sr: 0.000 0.000 0.799
Sm: 0.000 0.000 0.500
Ta: 0.500 0.500 0.000
Cu: 0.500 0.500 0.360
Cu: 0.500 0.500 0.640
O: 0.000 0.500 0.000
O: 0.000 0.500 0.372
O: 0.000 0.500 0.628
O: 0.500 0.000 0.000
O: 0.500 0.000 0.372
O: 0.500 0.000 0.628
O: 0.500 0.500 0.169
O: 0.500 0.500 0.831

=====

[6]
Structure and theoretical XRD peak list of TeW2S3 (a DFT-relaxed cell (PBE, the Materials Project); Cu Ka).
Intensities are scaled so that the largest is 100.

Peak list (10 most intense, 10 to 80 degrees two-theta, sorted by position)
2θ (°)	intensity
11.9	100
14.3	26
31.6	27
31.9	13
32.4	16
33.8	14
37.1	65
45.0	31
46.9	11
56.2	19

Structural model:
Cell: 3.273 3.273 37.226 Å, 90.00 90.00 120.00°
Positions (direct):
Te: 0.000 0.000 0.000
Te: 0.000 0.000 0.104
W: 0.000 0.000 0.488
W: 0.000 0.000 0.864
W: 0.333 0.667 0.052
W: 0.333 0.667 0.676
S: 0.000 0.000 0.635
S: 0.000 0.000 0.718
S: 0.333 0.667 0.447
S: 0.333 0.667 0.530
S: 0.333 0.667 0.823
S: 0.333 0.667 0.906

=====

[7]
Structure and theoretical XRD peak list of SiO2 (a DFT-relaxed cell (PBE, the Materials Project); Cu Ka).
Intensities are scaled so that the largest is 100.

Peak list (10 most intense, 10 to 80 degrees two-theta, sorted by position)
2θ (°)	intensity
16.9	19
18.3	21
20.3	57
20.5	100
22.1	26
24.5	17
24.9	45
25.3	19
27.2	20
35.0	20

Structural model:
Cell: 5.127 12.947 14.971 Å, 103.37 90.46 100.75°
Positions (direct):
Si: 0.112 0.102 0.143
Si: 0.136 0.143 0.938
Si: 0.232 0.526 0.391
Si: 0.246 0.584 0.874
Si: 0.305 0.723 0.078
Si: 0.322 0.556 0.195
Si: 0.332 0.612 0.594
Si: 0.334 0.779 0.771
Si: 0.666 0.221 0.229
Si: 0.668 0.388 0.406
Si: 0.678 0.444 0.805
Si: 0.695 0.277 0.922
Si: 0.754 0.416 0.126
Si: 0.768 0.474 0.609
Si: 0.864 0.857 0.062
Si: 0.888 0.898 0.857
O: 0.014 0.026 0.871
O: 0.029 0.768 0.080
O: 0.063 0.826 0.788
O: 0.070 0.463 0.146
O: 0.084 0.527 0.620
O: 0.116 0.136 0.045
O: 0.298 0.619 0.487
O: 0.310 0.582 0.306
O: 0.310 0.629 0.984
O: 0.323 0.669 0.165
O: 0.337 0.682 0.823
O: 0.350 0.732 0.661
O: 0.396 0.430 0.390
O: 0.407 0.487 0.836
O: 0.412 0.124 0.189
O: 0.445 0.177 0.916
O: 0.555 0.823 0.084
O: 0.588 0.876 0.811
O: 0.593 0.513 0.164
O: 0.604 0.570 0.610
O: 0.650 0.268 0.339
O: 0.663 0.318 0.177
O: 0.677 0.331 0.835
O: 0.690 0.371 0.016
O: 0.690 0.418 0.694
O: 0.702 0.381 0.513
O: 0.884 0.864 0.955
O: 0.916 0.473 0.380
O: 0.930 0.537 0.854
O: 0.937 0.174 0.212
O: 0.971 0.232 0.920
O: 0.986 0.974 0.129

=====

[8]
Structure and theoretical XRD peak list of CaGd2O4 (a DFT-relaxed cell (PBE, the Materials Project); Cu Ka).
Intensities are scaled so that the largest is 100.

Peak list (10 most intense, 10 to 80 degrees two-theta, sorted by position)
2θ (°)	intensity
16.0	37
17.7	28
27.6	32
28.8	23
29.0	100
31.8	28
35.8	38
37.0	26
39.5	30
55.0	42

Structural model:
Cell: 5.872 5.872 11.062 Å, 90.00 90.00 146.64°
Positions (direct):
Ca: 0.111 0.889 0.750
Ca: 0.889 0.111 0.250
Gd: 0.368 0.632 0.575
Gd: 0.368 0.632 0.925
Gd: 0.632 0.368 0.075
Gd: 0.632 0.368 0.425
O: 0.000 0.000 0.000
O: 0.000 0.000 0.500
O: 0.267 0.733 0.114
O: 0.267 0.733 0.386
O: 0.471 0.529 0.750
O: 0.529 0.471 0.250
O: 0.733 0.267 0.614
O: 0.733 0.267 0.886

=====

[9]
Structure and theoretical XRD peak list of InS (a DFT-relaxed cell (PBE, the Materials Project); Cu Ka).
Intensities are scaled so that the largest is 100.

Peak list (10 most intense, 10 to 80 degrees two-theta, sorted by position)
2θ (°)	intensity
20.4	29
23.7	54
25.0	91
29.1	100
30.3	34
33.4	52
38.7	27
44.9	49
45.2	26
47.6	65

Structural model:
Cell: 4.754 10.725 4.010 Å, 90.00 90.00 90.00°
Positions (direct):
In: 0.126 0.120 0.000
In: 0.374 0.620 0.500
In: 0.626 0.380 0.500
In: 0.874 0.880 0.000
S: 0.040 0.654 0.000
S: 0.460 0.154 0.500
S: 0.540 0.846 0.500
S: 0.960 0.346 0.000

=====

[10]
Structure and theoretical XRD peak list of TiP2O7 (a DFT-relaxed cell (PBE, the Materials Project); Cu Ka).
Intensities are scaled so that the largest is 100.

Peak list (10 most intense, 10 to 80 degrees two-theta, sorted by position)
2θ (°)	intensity
14.9	36
20.5	7
22.2	100
22.6	53
32.1	22
32.4	12
34.5	12
35.1	9
54.9	8
55.3	8

Structural model:
Cell: 8.806 5.203 13.269 Å, 90.00 116.44 90.00°
Positions (direct):
Ti: 0.227 0.240 0.463
Ti: 0.227 0.260 0.963
Ti: 0.773 0.740 0.037
Ti: 0.773 0.760 0.537
P: 0.185 0.728 0.613
P: 0.185 0.772 0.113
P: 0.342 0.744 0.860
P: 0.342 0.756 0.360
P: 0.658 0.244 0.640
P: 0.658 0.256 0.140
P: 0.815 0.228 0.887
P: 0.815 0.272 0.387
O: 0.019 0.733 0.122
O: 0.019 0.767 0.622
O: 0.202 0.045 0.079
O: 0.202 0.455 0.579
O: 0.216 0.573 0.041
O: 0.216 0.927 0.541
O: 0.241 0.536 0.378
O: 0.241 0.964 0.878
O: 0.261 0.018 0.357
O: 0.261 0.482 0.857
O: 0.335 0.721 0.238
O: 0.335 0.779 0.738
O: 0.472 0.244 0.057
O: 0.472 0.256 0.557
O: 0.528 0.744 0.443
O: 0.528 0.756 0.943
O: 0.665 0.221 0.262
O: 0.665 0.279 0.762
O: 0.739 0.518 0.143
O: 0.739 0.982 0.643
O: 0.759 0.036 0.122
O: 0.759 0.464 0.622
O: 0.784 0.073 0.459
O: 0.784 0.427 0.959
O: 0.798 0.545 0.421
O: 0.798 0.955 0.921
O: 0.981 0.233 0.378
O: 0.981 0.267 0.878